Record 1
Theoretical powder diffractogram
Compound: YMnTc2O8
Radiation: λ = 1.5418 Å (Cu Kα)
Structure: a GGA+U-relaxed structure

Top 8 peaks for 2θ = 10–90°, in order of rising 2θ:
Position (°2θ)  I/Imax  (hkl)
22.36  100.0  0 1 1
30.15  79.9  1 1 0
33.42  52.5  1 0 2
45.63  29.9  0 2 2
49.14  24.2  1 2 1
53.55  30.8  3 0 0
55.67  24.3  2 1 2
62.69  15.5  2 2 0

Structure:
Cell: 5.9280 5.9280 6.2872 Å, 90.00 90.00 120.00°
Space group P-3m1 (No. 164)
Inequivalent atoms, fractional coordinates:
Y1 0.0000 0.0000 0.0000
Mn1 0.0000 0.0000 0.5000
Tc1 0.3333 0.6667 0.3310
O1 0.1602 0.3204 0.2490
O2 0.3333 0.6667 0.6075



Record 2
Theoretical powder diffractogram
Compound: Mn4TeO8
Radiation: λ = 1.5418 Å (Cu Kα)
Structure: a GGA+U-relaxed structure

Top 8 peaks for 2θ = 10–90°, in order of rising 2θ:
Position (°2θ)  I/Imax  (hkl)
16.97  100.0  0 0 1
17.46  47.6  1 1 0
33.40  20.8  4 0 -1
33.78  20.3  2 2 -1
35.34  19.5  2 2 0
40.54  85.0  4 0 0
58.43  15.6  2 2 2
58.88  16.4  6 2 -2

Structure:
Cell: 10.923 6.182 6.402 Å, 90.00 125.30 90.00°
Space group C2/m (No. 12)
Inequivalent atoms, fractional coordinates:
Mn1 0.000 0.000 0.000
Mn2 0.000 0.500 0.500
Mn3 0.250 0.250 0.000
Te1 0.000 0.500 0.000
O1 0.002 0.278 0.784
O2 0.221 0.500 0.191
O3 0.249 0.000 0.185



Record 3
Theoretical powder diffractogram
Compound: Mn2Te2O7
Radiation: λ = 1.5418 Å (Cu Kα)
Structure: a GGA+U-relaxed structure

Top 8 peaks for 2θ = 10–90°, in order of rising 2θ:
Position (°2θ)  I/Imax  (hkl)
20.81  27.0  0 2 0
24.11  72.8  1 1 1
26.47  100.0  0 2 1
29.02  51.0  2 0 -1
32.00  16.7  2 0 1
33.33  46.9  2 2 0
35.52  26.3  1 1 -2
48.93  24.7  1 3 2

Structure:
Cell: 6.962 8.536 5.514 Å, 90.00 96.04 90.00°
Space group Cm (No. 8)
Inequivalent atoms, fractional coordinates:
Mn1 0.000 0.199 0.000
Te1 0.221 0.500 0.374
Te2 0.259 0.000 0.570
O1 0.054 0.000 0.307
O2 0.065 0.000 0.798
O3 0.232 0.334 0.145
O4 0.367 0.189 0.685
O5 0.432 0.000 0.300



Record 4
Theoretical powder diffractogram
Compound: MnTeO4
Radiation: λ = 1.5418 Å (Cu Kα)
Structure: a GGA+U-relaxed structure

Top 8 peaks for 2θ = 10–90°, in order of rising 2θ:
Position (°2θ)  I/Imax  (hkl)
16.39  24.2  1 0 0
24.97  18.8  0 1 1
26.37  100.0  1 1 -1
33.14  17.4  2 0 0
33.31  38.8  1 1 1
33.93  17.9  0 0 2
50.68  18.3  2 2 0
54.27  17.5  2 2 -2

Structure:
Cell: 5.801 4.831 5.670 Å, 90.00 111.23 90.00°
Space group P2_1/c (No. 14)
Inequivalent atoms, fractional coordinates:
Mn1 0.000 0.000 0.000
Te1 0.500 0.000 0.500
O1 0.184 0.170 0.374
O2 0.360 0.727 0.681



Record 5
Theoretical powder diffractogram
Compound: Mn2TlTe2O6
Radiation: λ = 1.5418 Å (Cu Kα)
Structure: a GGA+U-relaxed structure

Top 8 peaks for 2θ = 10–90°, in order of rising 2θ:
Position (°2θ)  I/Imax  (hkl)
17.47  62.9  0 1 0
22.30  75.6  1 -1 1
25.41  46.0  -1 1 1
26.15  47.3  1 0 1
29.48  49.1  1 1 0
30.63  77.3  1 -2 1
31.82  100.0  1 1 -2
33.59  47.0  -2 1 1

Structure:
Cell: 5.801 6.016 6.594 Å, 110.71 98.15 110.47°
Space group P-1 (No. 2)
Inequivalent atoms, fractional coordinates:
Mn1 0.230 0.434 0.064
Tl1 0.500 0.000 0.000
Te1 0.242 0.116 0.446
O1 0.110 0.270 0.282
O2 0.121 0.756 0.165
O3 0.380 0.409 0.789



Record 6
Theoretical powder diffractogram
Compound: Mn5Zn4Te3O18
Radiation: λ = 1.5418 Å (Cu Kα)
Structure: a GGA+U-relaxed structure

Top 8 peaks for 2θ = 10–90°, in order of rising 2θ:
Position (°2θ)  I/Imax  (hkl)
20.00  49.1  3 1 0
28.01  71.6  4 0 -2
28.70  73.6  2 2 2
31.48  48.9  3 1 -3
32.09  45.6  4 2 1
34.51  100.0  1 3 -2
34.60  52.8  3 3 0
53.97  46.7  7 3 -2

Structure:
Cell: 15.308 9.034 10.723 Å, 90.00 92.79 90.00°
Space group C2/c (No. 15)
Inequivalent atoms, fractional coordinates:
Mn1 0.000 0.196 0.250
Mn2 0.142 0.137 0.756
Mn3 0.160 0.283 0.056
Zn1 0.027 0.351 0.554
Zn2 0.203 0.145 0.425
Te1 0.000 0.000 0.000
Te2 0.163 0.498 0.806
O1 0.068 0.160 0.927
O2 0.071 0.027 0.153
O3 0.075 0.164 0.444
O4 0.081 0.488 0.944
O5 0.101 0.345 0.219
O6 0.101 0.348 0.707
O7 0.225 0.335 0.889
O8 0.242 0.355 0.396
O9 0.250 0.014 0.827



Record 7
Theoretical powder diffractogram
Compound: ThMn2WO8
Radiation: λ = 1.5418 Å (Cu Kα)
Structure: a GGA+U-relaxed structure

Top 8 peaks for 2θ = 10–90°, in order of rising 2θ:
Position (°2θ)  I/Imax  (hkl)
18.73  100.0  1 1 0
25.99  80.7  2 0 0
27.21  71.4  0 2 0
31.28  88.7  1 1 -2
33.43  61.2  1 1 2
37.98  35.9  2 2 0
38.10  33.7  0 2 2
52.21  47.8  3 1 2

Structure:
Cell: 6.891 6.556 6.845 Å, 90.00 95.65 90.00°
Space group C2/m (No. 12)
Inequivalent atoms, fractional coordinates:
Th1 0.000 0.000 0.000
Mn1 0.013 0.500 0.258
W1 0.000 0.000 0.500
O1 0.001 0.200 0.713
O2 0.178 0.500 0.967
O3 0.217 0.500 0.475



Record 8
Theoretical powder diffractogram
Compound: TiMn4O6
Radiation: λ = 1.5418 Å (Cu Kα)
Structure: a GGA+U-relaxed structure

Top 8 peaks for 2θ = 10–90°, in order of rising 2θ:
Position (°2θ)  I/Imax  (hkl)
20.51  41.4  2 0 -2
26.89  40.4  1 1 2
29.38  47.4  2 0 2
29.49  44.1  3 1 -1
30.78  100.0  0 2 1
34.43  52.4  1 1 3
34.61  42.3  4 0 -2
36.19  43.4  2 2 -2

Structure:
Cell: 10.495 6.058 10.672 Å, 90.00 109.88 90.00°
Space group Cc (No. 9)
Inequivalent atoms, fractional coordinates:
Ti1 0.000 0.226 0.000
Mn1 0.073 0.082 0.743
Mn2 0.228 0.389 0.264
Mn3 0.256 0.120 0.568
Mn4 0.432 0.228 0.907
O1 0.120 0.209 0.373
O2 0.180 0.191 0.094
O3 0.246 0.266 0.747
O4 0.426 0.483 0.049
O5 0.436 0.283 0.319
O6 0.437 0.018 0.548



Record 9
Theoretical powder diffractogram
Compound: Ti3MnO8
Radiation: λ = 1.5418 Å (Cu Kα)
Structure: a GGA+U-relaxed structure

Top 8 peaks for 2θ = 10–90°, in order of rising 2θ:
Position (°2θ)  I/Imax  (hkl)
19.90  100.0  0 0 2
26.42  25.0  1 0 2
34.83  21.9  2 0 0
36.32  51.0  1 1 2
40.45  29.6  2 0 2
46.65  31.6  2 0 3
62.51  23.5  2 2 0
63.38  22.2  2 0 5

Structure:
Cell: 5.9431 5.9431 8.9319 Å, 90.00 90.00 120.00°
Space group P6_3mc (No. 186)
Inequivalent atoms, fractional coordinates:
Ti1 0.1665 0.3331 0.0000
Mn1 0.3333 0.6667 0.2760
O1 0.0000 0.0000 0.1057
O2 0.0534 0.5267 0.1370
O3 0.1731 0.3461 0.4000
O4 0.3333 0.6667 0.8898